Record 1
Hf4TlSnN2: computed XRD peak list (Cu Kα), based on a DFT-relaxed cell (GGA-PBE, OQMD).
Neutral-atom scattering factors, no anomalous dispersion.

Peak list (10 most intense, 2θ from 10° to 90°, in order of rising 2θ)
two_theta	I/Imax	hkl
31.69	19	1 0 0
36.73	100	0 0 6
49.25	13	1 0 6
56.45	17	1 1 0
66.10	15	1 0 9
66.20	2	2 0 0
69.25	30	1 1 6
78.02	2	0 0 12
78.15	3	2 0 6
86.65	2	1 0 12

Atomic structure:
```
data_Hf4TlSnN2
_cell_length_a 3.2600
_cell_length_b 3.2600
_cell_length_c 14.6964
_cell_angle_alpha 90.00
_cell_angle_beta 90.00
_cell_angle_gamma 120.00
_space_group_name_H-M_alt 'P -6 m 2'
_space_group_IT_number 187
_space_group_name_Hall 'P -6 2'
loop_
_atom_site_label
_atom_site_fract_x
_atom_site_fract_y
_atom_site_fract_z
Hf1 0.0000 0.0000 0.1628
Hf2 0.6667 0.3333 0.3317
Tl1 0.0000 0.0000 0.5000
Sn1 0.6667 0.3333 0.0000
N1 0.3333 0.6667 0.2490
```

Record 2
Y4Hf2Sn3N3: computed XRD peak list (Cu Kα), based on a DFT-relaxed cell (GGA-PBE, OQMD).
Neutral-atom scattering factors, no anomalous dispersion.

Peak list (10 most intense, 2θ from 10° to 90°, in order of rising 2θ)
two_theta	I/Imax	hkl
29.75	33	3 1 -1
34.91	100	3 1 -4
35.04	48	3 1 2
36.34	28	0 0 6
47.59	15	3 1 -7
52.75	20	3 3 -1
52.88	10	6 0 -2
64.43	16	3 1 -10
64.83	15	6 2 -5
88.23	12	3 5 -4

Atomic structure:
```
data_Y4Hf2Sn3N3
_cell_length_a 10.3885
_cell_length_b 6.0157
_cell_length_c 15.2472
_cell_angle_alpha 90.00
_cell_angle_beta 103.40
_cell_angle_gamma 90.00
_space_group_name_H-M_alt 'C 1 2/c 1'
_space_group_IT_number 15
loop_
_space_group_symop_operation_xyz
'x,y,z'
'-x,-y,-z'
'-x,y,-z+1/2'
'x,-y,z+1/2'
'x+1/2,y+1/2,z'
'-x+1/2,-y+1/2,-z'
'-x+1/2,y+1/2,-z+1/2'
'x+1/2,-y+1/2,z+1/2'
loop_
_atom_site_label
_atom_site_fract_x
_atom_site_fract_y
_atom_site_fract_z
Y1 0.1145 0.0765 0.0900
Y2 0.2157 0.0874 0.4100
Hf1 0.0605 0.4136 0.9231
Sn1 0.0000 0.1195 0.7500
Sn2 0.1490 0.4346 0.2478
N1 0.0766 0.2693 0.5000
N2 0.2500 0.2500 0.0000
```

Record 3
Hf2Ta4Tl3N3: computed XRD peak list (Cu Kα), based on a DFT-relaxed cell (GGA-PBE, OQMD).
Neutral-atom scattering factors, no anomalous dispersion.

Peak list (10 most intense, 2θ from 10° to 90°, in order of rising 2θ)
two_theta	I/Imax	hkl
31.75	11	0 2 0
31.90	22	3 1 -1
37.09	100	3 1 2
37.26	49	3 1 -4
37.76	30	0 0 6
50.14	15	3 1 5
56.65	20	3 3 -1
56.94	10	6 0 -2
67.70	17	3 1 8
70.19	15	6 0 4

Atomic structure:
```
data_Hf2Ta4Tl3N3
_cell_length_a 9.7038
_cell_length_b 5.6367
_cell_length_c 14.6399
_cell_angle_alpha 90.00
_cell_angle_beta 102.49
_cell_angle_gamma 90.00
_space_group_name_H-M_alt 'C 1 2/c 1'
_space_group_IT_number 15
loop_
_space_group_symop_operation_xyz
'x,y,z'
'-x,-y,-z'
'-x,y,-z+1/2'
'x,-y,z+1/2'
'x+1/2,y+1/2,z'
'-x+1/2,-y+1/2,-z'
'-x+1/2,y+1/2,-z+1/2'
'x+1/2,-y+1/2,z+1/2'
loop_
_atom_site_label
_atom_site_fract_x
_atom_site_fract_y
_atom_site_fract_z
Hf1 0.0574 0.0847 0.4129
Ta1 0.1093 0.4254 0.5771
Ta2 0.2203 0.4134 0.9227
Tl1 0.0000 0.4299 0.2500
Tl2 0.1733 0.0930 0.7481
N1 0.0782 0.2356 0.0000
N2 0.2500 0.2500 0.5000
```

Record 4
Hf2ThN4: computed XRD peak list (Cu Kα), based on a DFT-relaxed cell (GGA-PBE, OQMD).
Neutral-atom scattering factors, no anomalous dispersion.

Peak list (10 most intense, 2θ from 10° to 90°, in order of rising 2θ)
two_theta	I/Imax	hkl
29.91	39	1 1 1
30.19	100	0 2 3
33.31	49	1 1 2
33.76	33	0 4 0
38.51	34	1 3 1
41.29	30	1 3 2
51.86	23	1 1 5
54.36	16	1 5 2
57.77	16	1 3 5
65.46	23	2 2 3

Atomic structure:
```
data_Hf2ThN4
_cell_length_a 3.2540
_cell_length_b 10.6194
_cell_length_c 10.6996
_cell_angle_alpha 90.00
_cell_angle_beta 90.00
_cell_angle_gamma 90.00
_space_group_name_H-M_alt 'C m c m'
_space_group_IT_number 63
_space_group_name_Hall '-C 2c 2'
loop_
_atom_site_label
_atom_site_fract_x
_atom_site_fract_y
_atom_site_fract_z
Hf1 0.0000 0.1338 0.0668
Th1 0.0000 0.3903 0.2500
N1 0.0000 0.0488 0.2500
N2 0.0000 0.2335 0.6125
N3 0.0000 0.5000 0.0000
```

Record 5
Hf2Zr4Tl3N3: computed XRD peak list (Cu Kα), based on a DFT-relaxed cell (GGA-PBE, OQMD).
Neutral-atom scattering factors, no anomalous dispersion.

Peak list (10 most intense, 2θ from 10° to 90°, in order of rising 2θ)
two_theta	I/Imax	hkl
11.88	4	0 0 2
31.25	18	3 1 -1
31.84	4	3 1 0
36.21	100	0 0 6
48.53	13	3 1 -7
55.62	17	6 0 -2
65.09	16	0 2 9
68.16	6	3 3 -7
68.18	24	6 0 -8
76.89	3	0 4 6

Atomic structure:
```
data_Hf2Zr4Tl3N3
_cell_length_a 9.9126
_cell_length_b 5.7252
_cell_length_c 15.2633
_cell_angle_alpha 90.00
_cell_angle_beta 102.51
_cell_angle_gamma 90.00
_space_group_name_H-M_alt 'C 1 2/c 1'
_space_group_IT_number 15
loop_
_space_group_symop_operation_xyz
'x,y,z'
'-x,-y,-z'
'-x,y,-z+1/2'
'x,-y,z+1/2'
'x+1/2,y+1/2,z'
'-x+1/2,-y+1/2,-z'
'-x+1/2,y+1/2,-z+1/2'
'x+1/2,-y+1/2,z+1/2'
loop_
_atom_site_label
_atom_site_fract_x
_atom_site_fract_y
_atom_site_fract_z
Hf1 0.0577 0.0847 0.4188
Zr1 0.1116 0.4198 0.5839
Zr2 0.2204 0.4148 0.9160
Tl1 0.0000 0.4119 0.2500
Tl2 0.1642 0.0814 0.7489
N1 0.0801 0.2412 0.0000
N2 0.2500 0.2500 0.5000
```

Record 6
Y2HfN3: computed XRD peak list (Cu Kα), based on a DFT-relaxed cell (GGA-PBE, OQMD).
Neutral-atom scattering factors, no anomalous dispersion.

Peak list (10 most intense, 2θ from 10° to 90°, in order of rising 2θ)
two_theta	I/Imax	hkl
10.66	31	0 0 1
32.36	31	0 0 3
32.73	96	0 1 1
37.87	100	1 0 2
54.38	34	0 1 4
54.87	31	1 1 0
64.72	15	1 0 5
65.16	26	1 1 3
65.38	14	2 0 1
68.60	16	0 2 2

Atomic structure:
```
data_Y2HfN3
_cell_length_a 3.3462
_cell_length_b 3.3462
_cell_length_c 8.2996
_cell_angle_alpha 90.00
_cell_angle_beta 90.00
_cell_angle_gamma 120.00
_space_group_name_H-M_alt 'P -3 m 1'
_space_group_IT_number 164
_space_group_name_Hall '-P 3 2"'
loop_
_atom_site_label
_atom_site_fract_x
_atom_site_fract_y
_atom_site_fract_z
Y1 0.3333 0.6667 0.3310
Hf1 0.0000 0.0000 0.0000
N1 0.0000 0.0000 0.5000
N2 0.3333 0.6667 0.8532
```

Record 7
Hf3ZnN2: computed XRD peak list (Cu Kα), based on a DFT-relaxed cell (GGA-PBE, OQMD).
Neutral-atom scattering factors, no anomalous dispersion.

Peak list (10 most intense, 2θ from 10° to 90°, in order of rising 2θ)
two_theta	I/Imax	hkl
32.48	39	1 0 1
35.18	15	1 0 3
37.41	100	1 0 4
37.81	26	0 0 8
40.11	39	1 0 5
54.47	18	1 0 9
57.28	32	1 1 0
68.01	15	1 0 12
70.44	16	2 0 4
70.70	26	1 1 8

Atomic structure:
```
data_Hf3ZnN2
_cell_length_a 3.2168
_cell_length_b 3.2168
_cell_length_c 19.0347
_cell_angle_alpha 90.00
_cell_angle_beta 90.00
_cell_angle_gamma 120.00
_space_group_name_H-M_alt 'P 63/m m c'
_space_group_IT_number 194
_space_group_name_Hall '-P 6c 2c'
loop_
_atom_site_label
_atom_site_fract_x
_atom_site_fract_y
_atom_site_fract_z
Hf1 0.0000 0.0000 0.0000
Hf2 0.3333 0.6667 0.1344
Zn1 0.0000 0.0000 0.2500
N1 0.3333 0.6667 0.5692
```

Record 8
HfZr3N4: computed XRD peak list (Cu Kα), based on a DFT-relaxed cell (GGA-PBE, OQMD).
Neutral-atom scattering factors, no anomalous dispersion.

Peak list (10 most intense, 2θ from 10° to 90°, in order of rising 2θ)
two_theta	I/Imax	hkl
32.24	41	1 0 0
32.54	40	0 0 4
33.28	93	1 0 1
40.76	100	0 1 3
46.46	35	0 1 4
53.09	22	1 0 5
57.49	38	1 1 0
67.64	31	1 1 4
68.10	18	0 0 8
68.59	21	0 1 7

Atomic structure:
```
data_HfZr3N4
_cell_length_a 3.2059
_cell_length_b 3.2059
_cell_length_c 11.0072
_cell_angle_alpha 90.00
_cell_angle_beta 90.00
_cell_angle_gamma 120.00
_space_group_name_H-M_alt 'P 3 m 1'
_space_group_IT_number 156
loop_
_space_group_symop_operation_xyz
'x,y,z'
'-y,x-y,z'
'-x+y,-x,z'
'-y,-x,z'
'-x+y,y,z'
'x,x-y,z'
loop_
_atom_site_label
_atom_site_fract_x
_atom_site_fract_y
_atom_site_fract_z
Hf1 0.0000 0.0000 0.0000
Zr1 0.0000 0.0000 0.2650
Zr2 0.3333 0.6667 0.4994
Zr3 0.3333 0.6667 0.7660
N1 0.0000 0.0000 0.6327
N2 0.3333 0.6667 0.1258
N3 0.6667 0.3333 0.3823
N4 0.6667 0.3333 0.8898
```

Record 9
Hf3ZrN4: computed XRD peak list (Cu Kα), based on a DFT-relaxed cell (GGA-PBE, OQMD).
Neutral-atom scattering factors, no anomalous dispersion.

Peak list (10 most intense, 2θ from 10° to 90°, in order of rising 2θ)
two_theta	I/Imax	hkl
32.53	42	1 0 0
32.80	45	0 0 4
33.58	98	0 1 1
41.11	100	1 0 3
46.87	35	1 0 4
53.56	20	0 1 5
58.04	38	1 1 0
68.29	35	1 1 4
68.76	19	0 0 8
69.22	23	1 0 7

Atomic structure:
```
data_Hf3ZrN4
_cell_length_a 3.1781
_cell_length_b 3.1781
_cell_length_c 10.9221
_cell_angle_alpha 90.00
_cell_angle_beta 90.00
_cell_angle_gamma 120.00
_space_group_name_H-M_alt 'P 3 m 1'
_space_group_IT_number 156
loop_
_space_group_symop_operation_xyz
'x,y,z'
'-y,x-y,z'
'-x+y,-x,z'
'-y,-x,z'
'-x+y,y,z'
'x,x-y,z'
loop_
_atom_site_label
_atom_site_fract_x
_atom_site_fract_y
_atom_site_fract_z
Hf1 0.0000 0.0000 0.0000
Hf2 0.0000 0.0000 0.2648
Hf3 0.3333 0.6667 0.4982
Zr1 0.3333 0.6667 0.7654
N1 0.0000 0.0000 0.6245
N2 0.3333 0.6667 0.1325
N3 0.6667 0.3333 0.3815
N4 0.6667 0.3333 0.8901
```

Record 10
Na2HfReO6: computed XRD peak list (Cu Kα), based on a DFT-relaxed cell (GGA-PBE, OQMD).
Neutral-atom scattering factors, no anomalous dispersion.

Peak list (10 most intense, 2θ from 10° to 90°, in order of rising 2θ)
two_theta	I/Imax	hkl
22.45	54	0 0 2
22.81	100	1 1 0
32.22	99	1 1 2
32.48	53	2 0 0
39.84	21	2 0 2
46.59	30	2 2 0
51.77	22	1 1 4
52.48	23	3 1 0
57.28	22	2 0 4
57.77	43	3 1 2

Atomic structure:
```
data_Na2HfReO6
_cell_length_a 5.5139
_cell_length_b 5.5139
_cell_length_c 7.9222
_cell_angle_alpha 90.00
_cell_angle_beta 90.00
_cell_angle_gamma 90.00
_space_group_name_H-M_alt 'I 4/m'
_space_group_IT_number 87
_space_group_name_Hall '-I 4'
loop_
_atom_site_label
_atom_site_fract_x
_atom_site_fract_y
_atom_site_fract_z
Na1 0.0000 0.5000 0.2500
Hf1 0.0000 0.0000 0.0000
Re1 0.0000 0.0000 0.5000
O1 0.0000 0.0000 0.2584
O2 0.1941 0.7123 0.5000
```

- Which formula does entry 6 have?
  Y2HfN3